No. 1
Calculated XRD peak list of HfVP for CuKα, from a structure optimized by DFT (GGA-PBE).
Lines closer than 0.1° are merged.

Peak list (10 most intense, 2θ = 15–90°, in order of rising 2θ)
hkl 1 0 1, 17.6 deg, rel. 25
hkl 2 0 0, 27.0 deg, rel. 28
hkl 0 1 1, 28.1 deg, rel. 45
hkl 1 0 3, 37.0 deg, rel. 60
hkl 1 1 2, 37.2 deg, rel. 100
hkl 2 1 0, 37.6 deg, rel. 28
hkl 2 1 1, 39.4 deg, rel. 75
hkl 3 0 2, 47.4 deg, rel. 20
hkl 0 2 0, 52.8 deg, rel. 20
hkl 1 2 3, 66.2 deg, rel. 22

Structure:
```
data_HfVP
_space_group_name_H-M_alt 'P n m a'
_space_group_IT_number 62
_cell_length_a 6.596
_cell_length_b 3.469
_cell_length_c 7.851
_cell_angle_alpha 90.00
_cell_angle_beta 90.00
_cell_angle_gamma 90.00
loop_
_space_group_symop_operation_xyz
'x,y,z'
'-x,-y,-z'
'-x+1/2,-y,z+1/2'
'x+1/2,y,-z+1/2'
'x+1/2,-y+1/2,-z+1/2'
'-x+1/2,y+1/2,z+1/2'
'-x,y+1/2,-z'
'x,-y+1/2,z'
loop_
_atom_site_label
_atom_site_type_symbol
_atom_site_fract_x
_atom_site_fract_y
_atom_site_fract_z
Hf1 Hf 0.039 0.250 0.170
V1 V 0.131 0.250 0.559
P1 P 0.239 0.750 0.363
```

=====

No. 2
Calculated XRD peak list of UCo5Si3 for CuKα, from a structure optimized by DFT (GGA-PBE).
Lines closer than 0.1° are merged.

Peak list (10 most intense, 2θ = 15–90°, in order of rising 2θ)
hkl 2 1 0, 18.5 deg, rel. 25
hkl 1 1 1, 27.1 deg, rel. 18
hkl 3 2 0, 30.6 deg, rel. 19
hkl 1 3 1, 35.3 deg, rel. 25
hkl 2 4 0, 37.4 deg, rel. 32
hkl 3 2 1, 39.4 deg, rel. 100
hkl 4 1 1, 40.7 deg, rel. 14
hkl 0 0 2, 49.5 deg, rel. 19
hkl 1 7 0, 54.5 deg, rel. 17
hkl 5 3 1, 56.5 deg, rel. 16

Structure:
```
data_UCo5Si3
_space_group_name_H-M_alt 'P 63/m'
_space_group_IT_number 176
_space_group_name_Hall '-P 6c'
_cell_length_a 14.6844
_cell_length_b 14.6844
_cell_length_c 3.6801
_cell_angle_alpha 90.00
_cell_angle_beta 90.00
_cell_angle_gamma 120.00
loop_
_atom_site_label
_atom_site_type_symbol
_atom_site_fract_x
_atom_site_fract_y
_atom_site_fract_z
U1 U 0.1007 0.7118 0.2500
Co1 Co 0.0334 0.9056 0.2500
Co2 Co 0.0403 0.2684 0.2500
Co3 Co 0.0749 0.5368 0.7500
Co4 Co 0.1506 0.4135 0.7500
Co5 Co 0.2251 0.5726 0.2500
Si1 Si 0.0620 0.4335 0.2500
Si2 Si 0.1223 0.2442 0.7500
Si3 Si 0.2386 0.6815 0.7500
```